# SrVAg2O4
Calculated XRD peak list, a wavelength of 1.5418 Å. Input: a crystal structure in Alexandria, relaxed with GGA+U.
Peak positions follow from Bragg's law for the DFT cell and can differ from measured ones.

Structural model:
```
SrVAg2O4
1.0
0.0000 3.6459 5.3149
3.6407 0.0000 5.3149
3.6407 3.6459 0.0000
Sr V Ag O
1 1 2 4
Direct
0.0000 0.0000 0.0000
0.5007 0.5007 0.4993
0.2503 0.2503 0.2497
0.7503 0.7503 0.7497
0.2076 0.6004 0.3996
0.4004 0.7940 0.5996
0.6004 0.2076 0.7924
0.7940 0.4004 0.2060
```

Main lines, sorted by position (2θ from 10° to 80°):
2θ = 29.73°, I = 100; 2θ = 33.73°, I = 13; 2θ = 34.82°, I = 23; 2θ = 38.85°, I = 4; 2θ = 49.26°, I = 27; 2θ = 50.07°, I = 13; 2θ = 57.88°, I = 13; 2θ = 59.32°, I = 24; 2θ = 61.74°, I = 10; 2θ = 79.98°, I = 5